Computed XRD peak list
Compound: Tb3Sm2Tl2
Radiation: λ = 1.5418 Å (Cu Kα)
Structure: a cell relaxed with PBE
No peak broadening, texture or thermal motion is included.

Peak list (12 most intense, 5° ≤ 2θ ≤ 70°, low angle first)
2θ (°), I/Imax
20.1, 5
31.9, 100
32.8, 100
33.0, 3
46.4, 36
47.2, 6
56.2, 16
58.0, 37
58.6, 19
64.1, 2
66.6, 10
68.8, 12

Structure:
a = 8.736 Å, b = 8.736 Å, c = 8.736 Å
α = 36.42°, β = 36.42°, γ = 36.42°
Element x y z (fractional)
Tb 0.000 0.000 0.000
Tb 0.154 0.154 0.154
Tb 0.846 0.846 0.846
Sm 0.424 0.424 0.424
Sm 0.576 0.576 0.576
Tl 0.283 0.283 0.283
Tl 0.717 0.717 0.717